Structure and calculated XRD peak list of CrSb2F8 (DFT lattice parameters and positions (GGA+U); a wavelength of 1.5418 Å).

Atomic structure:
```
22
Lattice="5.0284 -3.8444 0.0000 5.0284 3.8444 0.0000 -0.3319 0.0000 9.8920" Properties=species:S:1:pos:R:3 pbc="T T T"
Cr 4.7795 2.1903 7.4190
Cr 4.9454 -2.1903 2.4730
Sb 2.5959 0.1303 4.7717
Sb 2.4300 -0.1303 9.7177
Sb 7.2949 0.1303 0.1743
Sb 7.1289 -0.1303 5.1203
F 3.0641 2.3649 3.9826
F 1.9255 1.2030 1.0905
F 0.7961 0.2618 3.6845
F 0.6302 -0.2618 8.6305
F 4.1093 0.6694 6.2385
F 1.7596 -1.2030 6.0365
F 6.8267 2.3649 0.9634
F 5.4496 0.6694 8.5995
F 4.2752 -0.6694 1.2925
F 2.8981 -2.3649 8.9286
F 7.9653 1.2030 3.8555
F 5.6156 -0.6694 3.6535
F 9.0947 0.2618 1.2615
F 8.9287 -0.2618 6.2075
F 7.7993 -1.2030 8.8015
F 6.6608 -2.3649 5.9094
```

Main lines, low angle first (2θ from 10° to 80°):
d_spacing, 2theta, Rel. int.
5.244, 16.91, 69
5.026, 17.65, 92
4.946, 17.93, 95
3.586, 24.83, 98
3.467, 25.69, 91
3.035, 29.43, 100